1.
This entry pairs a crystal structure of LaNd8Co2 with its theoretical PXRD pattern. Radiation: Cu Kα X-rays. Structure: a PBE-relaxed structure.
Intensities are scaled so that the largest is 100.

Cell and atoms:
a b c (Å): 7.639 7.639 7.129
angles (deg): 106.54 106.54 66.00
Sites, in units of the cell vectors:
La 0.000 0.000 0.000
Nd 0.129 0.129 0.693
Nd 0.184 0.579 0.691
Nd 0.338 0.338 0.186
Nd 0.421 0.816 0.309
Nd 0.579 0.184 0.691
Nd 0.662 0.662 0.814
Nd 0.816 0.421 0.309
Nd 0.871 0.871 0.307
Co 0.203 0.203 0.399
Co 0.797 0.797 0.601

Principal peaks in the range 15° ≤ 2θ ≤ 90°, by angle:
| two_theta | d/Å | Rel. int. |
| --- | --- | --- |
| 26.6 | 3.353 | 21 |
| 26.9 | 3.320 | 45 |
| 27.3 | 3.271 | 21 |
| 29.6 | 3.013 | 25 |
| 31.5 | 2.838 | 100 |
| 32.5 | 2.753 | 34 |
| 33.1 | 2.703 | 18 |
| 39.2 | 2.299 | 22 |
| 47.9 | 1.899 | 18 |
| 55.3 | 1.661 | 16 |



2.
This entry pairs a crystal structure of LaY3Te6 with its theoretical PXRD pattern. Radiation: Cu Kα X-rays. Structure: a PBE-relaxed structure.
Intensities are scaled so that the largest is 100.

Cell and atoms:
a b c (Å): 12.556 4.427 12.898
angles (deg): 90.00 109.34 90.00
Sites, in units of the cell vectors:
La 0.048 0.250 0.197
La 0.952 0.750 0.803
Y 0.155 0.250 0.583
Y 0.318 0.750 0.999
Y 0.438 0.250 0.335
Y 0.562 0.750 0.665
Y 0.682 0.250 0.001
Y 0.845 0.750 0.417
Te 0.086 0.750 0.405
Te 0.118 0.250 0.967
Te 0.196 0.750 0.750
Te 0.261 0.750 0.225
Te 0.391 0.250 0.558
Te 0.483 0.250 0.117
Te 0.517 0.750 0.883
Te 0.609 0.750 0.442
Te 0.739 0.250 0.775
Te 0.804 0.250 0.250
Te 0.882 0.750 0.033
Te 0.914 0.250 0.595

Principal peaks in the range 15° ≤ 2θ ≤ 90°, by angle:
| two_theta | d/Å | Rel. int. |
| --- | --- | --- |
| 24.9 | 3.580 | 36 |
| 27.4 | 3.256 | 31 |
| 27.6 | 3.237 | 100 |
| 28.2 | 3.166 | 70 |
| 28.8 | 3.097 | 32 |
| 29.9 | 2.991 | 32 |
| 30.3 | 2.947 | 64 |
| 37.1 | 2.421 | 57 |
| 40.2 | 2.241 | 32 |
| 40.8 | 2.213 | 69 |